Diffraction record for Sc6NO. The X-ray diffraction stick pattern is theoretical, not measured: it uses a crystal structure in Alexandria, relaxed with PBE and a wavelength of 1.5418 Å.

Structure:
```
data_Sc6NO
_chemical_formula_sum 'Sc12 N2 O2'
_cell_length_a 5.413
_cell_length_b 5.413
_cell_length_c 10.131
_cell_angle_alpha 90.00
_cell_angle_beta 90.00
_cell_angle_gamma 90.00
_symmetry_space_group_name_H-M 'P 42/m'
_symmetry_Int_Tables_number 84
loop_
_symmetry_equiv_pos_as_xyz
'x,y,z'
'-x,-y,-z'
'-y,x,z+1/2'
'y,-x,-z+1/2'
'-x,-y,z'
'x,y,-z'
'y,-x,z+1/2'
'-y,x,-z+1/2'
loop_
_atom_site_label
_atom_site_type_symbol
_atom_site_fract_x
_atom_site_fract_y
_atom_site_fract_z
Sc1 Sc 0.211 0.742 0.000
Sc2 Sc 0.234 0.728 0.340
N1 N 0.000 0.000 0.250
O1 O 0.500 0.500 0.000
```

Peak list (10 most intense, 5° ≤ 2θ ≤ 70°, by intensity)
35.45 deg, intensity 100; 33.10 deg, intensity 46; 60.65 deg, intensity 30; 47.51 deg, intensity 22; 65.11 deg, intensity 13; 54.33 deg, intensity 7; 37.14 deg, intensity 6; 69.45 deg, intensity 6; 68.38 deg, intensity 3; 57.95 deg, intensity 3